[1]
# NdPuTeS
Computed powder X-ray diffraction pattern, Cu Kα (λ = 1.5418 Å). Input: a DFT-relaxed cell (GGA-PBE, Alexandria).
Neutral-atom scattering factors, no anomalous dispersion.

Structural model:
Lattice parameters (Å, degrees): 4.1701 4.1701 21.4157 90.00 90.00 120.00
Space group R3m (No. 160, hexagonal axes)
Unique sites:
Nd1 0.0000 0.0000 0.0000 x3
Pu1 0.0000 0.0000 0.5247 x3
Te1 0.0000 0.0000 0.7642 x3
S1 0.0000 0.0000 0.2591 x3

The 10 most intense peaks (2θ from 10° to 90°), by intensity:
2θ/deg  d_spacing  I/Imax
29.84  2.994  100.0
43.40  2.085  38.5
42.01  2.151  32.2
26.04  3.422  23.9
53.55  1.711  22.8
24.99  3.564  18.7
61.96  1.498  18.4
71.30  1.323  18.1
32.43  2.761  17.9
78.67  1.216  14.5

[2]
# Nd2Tm3PuS6
Computed powder X-ray diffraction pattern, Cu Kα (λ = 1.5418 Å). Input: a DFT-relaxed cell (GGA-PBE, Alexandria).
Neutral-atom scattering factors, no anomalous dispersion.

Structural model:
Lattice parameters (Å, degrees): 17.251 3.895 7.967 90.00 104.52 90.00
Space group C2/m (No. 12)
Unique sites:
Nd1 0.166 0.000 0.332 x4
Tm1 0.000 0.500 0.500 x2
Tm2 0.167 0.000 0.836 x4
Pu1 0.000 0.500 0.000 x2
S1 0.005 0.000 0.745 x4
S2 0.162 0.500 0.596 x4
S3 0.169 0.500 0.072 x4

The 10 most intense peaks (2θ from 10° to 90°), by intensity:
2θ/deg  d_spacing  I/Imax
32.15  2.784  100.0
27.96  3.191  42.8
45.76  1.983  24.5
46.46  1.955  23.7
27.26  3.271  23.0
27.81  3.208  21.7
54.83  1.674  14.3
45.55  1.991  12.4
57.78  1.596  12.4
46.64  1.947  11.9

[3]
# NdPuSc2
Computed powder X-ray diffraction pattern, Cu Kα (λ = 1.5418 Å). Input: a DFT-relaxed cell (GGA-PBE, Alexandria).
Neutral-atom scattering factors, no anomalous dispersion.

Structural model:
Lattice parameters (Å, degrees): 4.826 4.826 4.693 90.00 90.00 90.00
Space group P4/mmm (No. 123)
Unique sites:
Nd1 0.000 0.000 0.000 x1
Pu1 0.500 0.500 0.000 x1
Sc1 0.000 0.500 0.500 x2

The 10 most intense peaks (2θ from 10° to 90°), by intensity:
2θ/deg  d_spacing  I/Imax
32.44  2.760  100.0
37.26  2.413  34.4
18.91  4.693  34.1
26.11  3.412  32.2
64.17  1.451  27.8
54.55  1.682  22.8
42.11  2.146  19.1
38.36  2.346  15.8
47.00  1.933  14.2
65.66  1.422  13.0

[4]
# Nd14PuSc
Computed powder X-ray diffraction pattern, Cu Kα (λ = 1.5418 Å). Input: a DFT-relaxed cell (GGA-PBE, Alexandria).
Neutral-atom scattering factors, no anomalous dispersion.

Structural model:
Lattice parameters (Å, degrees): 12.685 7.369 11.764 90.00 90.01 90.00
Space group Cm (No. 8)
Unique sites:
Nd1 0.000 0.000 0.000 x2
Nd2 0.000 0.000 0.492 x2
Nd3 0.166 0.500 0.746 x2
Nd4 0.168 0.000 0.746 x2
Nd5 0.246 0.252 0.007 x4
Nd6 0.247 0.252 0.485 x4
Nd7 0.416 0.252 0.746 x4
Nd8 0.421 0.247 0.246 x4
Nd9 0.498 0.000 0.996 x2
Nd10 0.499 0.000 0.495 x2
Pu1 0.164 0.500 0.246 x2
Sc1 0.168 0.000 0.246 x2

The 10 most intense peaks (2θ from 10° to 90°), by intensity:
2θ/deg  d_spacing  I/Imax
31.95  2.801  100.0
32.06  2.791  46.5
30.39  2.941  36.7
55.02  1.669  30.3
41.83  2.159  23.1
59.40  1.556  21.8
28.01  3.186  21.7
49.72  1.834  18.9
60.18  1.538  15.3
28.14  3.171  12.8

[5]
# NdPuSe3
Computed powder X-ray diffraction pattern, Cu Kα (λ = 1.5418 Å). Input: a DFT-relaxed cell (GGA-PBE, Alexandria).
Neutral-atom scattering factors, no anomalous dispersion.

Structural model:
Lattice parameters (Å, degrees): 4.2683 4.2683 19.9268 90.00 90.00 120.00
Space group P6_3mc (No. 186)
Unique sites:
Nd1 0.3333 0.6667 0.0000 x2
Pu1 0.0000 0.0000 0.1859 x2
Se1 0.0000 0.0000 0.4286 x2
Se2 0.3333 0.6667 0.2540 x2
Se3 0.3333 0.6667 0.5975 x2

The 10 most intense peaks (2θ from 10° to 90°), by intensity:
2θ/deg  d_spacing  I/Imax
30.10  2.969  100.0
42.35  2.134  59.2
43.83  2.066  52.8
27.62  3.230  40.0
17.80  4.982  37.7
25.71  3.466  34.0
33.05  2.710  23.6
52.83  1.733  21.1
46.28  1.962  20.0
78.49  1.219  19.5

[6]
# NdPu5Se6
Computed powder X-ray diffraction pattern, Cu Kα (λ = 1.5418 Å). Input: a DFT-relaxed cell (GGA-PBE, Alexandria).
Neutral-atom scattering factors, no anomalous dispersion.

Structural model:
Lattice parameters (Å, degrees): 7.215 12.487 7.210 90.00 109.46 90.00
Space group C2/m (No. 12)
Unique sites:
Nd1 0.000 0.000 0.000 x2
Pu1 0.000 0.165 0.500 x4
Pu2 0.000 0.333 0.000 x4
Pu3 0.000 0.500 0.500 x2
Se1 0.245 0.500 0.252 x4
Se2 0.246 0.331 0.747 x8

The 10 most intense peaks (2θ from 10° to 90°), by intensity:
2θ/deg  d_spacing  I/Imax
30.36  2.944  100.0
43.47  2.082  75.8
26.21  3.400  40.8
71.68  1.317  35.1
53.94  1.700  27.0
79.79  1.202  26.4
51.47  1.775  21.3
63.16  1.472  12.7
69.57  1.351  4.6
69.61  1.351  4.4

[7]
# NdPu3Se6
Computed powder X-ray diffraction pattern, Cu Kα (λ = 1.5418 Å). Input: a DFT-relaxed cell (GGA-PBE, Alexandria).
Neutral-atom scattering factors, no anomalous dispersion.

Structural model:
Lattice parameters (Å, degrees): 10.679 4.166 15.021 90.00 92.83 90.00
Space group P2_1/m (No. 11)
Unique sites:
Nd1 0.125 0.250 0.345 x2
Pu1 0.058 0.750 0.114 x2
Pu2 0.277 0.250 0.828 x2
Pu3 0.478 0.750 0.374 x2
Se1 0.062 0.750 0.513 x2
Se2 0.063 0.250 0.717 x2
Se3 0.136 0.750 0.931 x2
Se4 0.263 0.750 0.245 x2
Se5 0.351 0.250 0.468 x2
Se6 0.410 0.750 0.740 x2

The 10 most intense peaks (2θ from 10° to 90°), by intensity:
2θ/deg  d_spacing  I/Imax
43.42  2.084  100.0
32.15  2.784  82.7
10.41  8.497  61.5
22.14  4.014  44.9
26.04  3.422  44.7
29.36  3.042  44.2
31.59  2.832  44.1
14.77  5.998  42.6
40.88  2.208  30.6
17.93  4.948  29.9

[8]
# Nd2PuSe3
Computed powder X-ray diffraction pattern, Cu Kα (λ = 1.5418 Å). Input: a DFT-relaxed cell (GGA-PBE, Alexandria).
Neutral-atom scattering factors, no anomalous dispersion.

Structural model:
Lattice parameters (Å, degrees): 4.196 5.936 12.638 90.00 90.00 90.00
Space group Immm (No. 71)
Unique sites:
Nd1 0.000 0.000 0.169 x4
Pu1 0.000 0.000 0.500 x2
Se1 0.000 0.500 0.162 x4
Se2 0.000 0.500 0.500 x2

The 10 most intense peaks (2θ from 10° to 90°), by intensity:
2θ/deg  d_spacing  I/Imax
30.08  2.971  100.0
43.08  2.100  62.6
70.96  1.328  28.5
25.97  3.431  26.1
53.48  1.713  13.3
53.34  1.718  13.3
78.98  1.212  12.8
42.94  2.106  12.5
51.01  1.790  8.9
78.77  1.215  8.4

Question: Which formula does entry 5 have?
Answer: NdPuSe3